# 1
For K2TaCuSe4, the PBE geometry in the Materials Project gives the calculated powder X-ray diffraction pattern in this record (Cu Kα X-rays).
Neutral-atom scattering factors, no anomalous dispersion.

Structural model:
```
data_K2TaCuSe4
_chemical_formula_sum 'K4 Ta2 Cu2 Se8'
_symmetry_space_group_name_H-M 'P 1'
_symmetry_Int_Tables_number 1
_cell_length_a 5.774
_cell_length_b 7.489
_cell_length_c 12.554
_cell_angle_alpha 84.91
_cell_angle_beta 76.71
_cell_angle_gamma 67.33
loop_
_symmetry_equiv_pos_as_xyz
'x,y,z'
loop_
_atom_site_label
_atom_site_fract_x
_atom_site_fract_y
_atom_site_fract_z
_atom_site_occupancy
K1 0.000 0.000 0.000 1
K2 0.098 0.502 0.784 1
K3 0.357 0.996 0.281 1
K4 0.741 0.496 0.498 1
Ta1 0.173 0.995 0.639 1
Ta2 0.922 0.507 0.137 1
Cu1 0.428 0.504 0.139 1
Cu2 0.666 0.998 0.640 1
Se1 0.006 0.699 0.254 1
Se2 0.094 0.801 0.526 1
Se3 0.325 0.299 0.030 1
Se4 0.373 0.203 0.529 1
Se5 0.469 0.794 0.752 1
Se6 0.640 0.706 0.023 1
Se7 0.727 0.291 0.255 1
Se8 0.772 0.201 0.756 1
```

Principal peaks in the range 2θ from 5° to 70°, low angle first:
- hkl 0 0 2, 2θ 14.5, I 56
- hkl 0 1 1, 2θ 14.7, I 100
- hkl 1 1 -1, 2θ 19.9, I 29
- hkl 1 2 0, 2θ 25.0, I 25
- hkl 0 1 3, 2θ 25.4, I 30
- hkl 1 2 -2, 2θ 30.8, I 54
- hkl 2 1 -2, 2θ 38.2, I 33
- hkl 0 2 -4, 2θ 39.4, I 23
- hkl 2 3 2, 2θ 41.4, I 34
- hkl 0 3 -3, 2θ 45.2, I 29

# 2
For K2TaCuSe4, the PBE geometry in the Materials Project gives the calculated powder X-ray diffraction pattern in this record (Cu Kα X-rays).
Neutral-atom scattering factors, no anomalous dispersion.

Structural model:
```
data_K2TaCuSe4
_chemical_formula_sum 'K16 Ta8 Cu8 Se32'
_symmetry_space_group_name_H-M 'F d d d'
_symmetry_Int_Tables_number 70
_cell_length_a 5.774
_cell_length_b 13.820
_cell_length_c 24.436
_cell_angle_alpha 90.00
_cell_angle_beta 90.00
_cell_angle_gamma 90.00
loop_
_symmetry_equiv_pos_as_xyz
'x,y,z'
'-x,-y,-z'
'-x+1/4,-y+1/4,z'
'x+1/4,y+1/4,-z'
'x,-y+1/4,-z+1/4'
'-x,y+1/4,z+1/4'
'-x+1/4,y,-z+1/4'
'x+1/4,-y,z+1/4'
'x,y+1/2,z+1/2'
'-x,-y+1/2,-z+1/2'
'-x+1/4,-y+3/4,z+1/2'
'x+1/4,y+3/4,-z+1/2'
'x,-y+3/4,-z+3/4'
'-x,y+3/4,z+3/4'
'-x+1/4,y+1/2,-z+3/4'
'x+1/4,-y+1/2,z+3/4'
'x+1/2,y,z+1/2'
'-x+1/2,-y,-z+1/2'
'-x+3/4,-y+1/4,z+1/2'
'x+3/4,y+1/4,-z+1/2'
'x+1/2,-y+1/4,-z+3/4'
'-x+1/2,y+1/4,z+3/4'
'-x+3/4,y,-z+3/4'
'x+3/4,-y,z+3/4'
'x+1/2,y+1/2,z'
'-x+1/2,-y+1/2,-z'
'-x+3/4,-y+3/4,z'
'x+3/4,y+3/4,-z'
'x+1/2,-y+3/4,-z+1/4'
'-x+1/2,y+3/4,z+1/4'
'-x+3/4,y+1/2,-z+1/4'
'x+3/4,-y+1/2,z+1/4'
loop_
_atom_site_label
_atom_site_fract_x
_atom_site_fract_y
_atom_site_fract_z
_atom_site_occupancy
K1 0.125 0.125 0.305 1
Ta1 0.125 0.125 0.125 1
Cu1 0.125 0.125 0.625 1
Se1 0.118 0.273 0.432 1
```

Principal peaks in the range 2θ from 5° to 70°, low angle first:
- hkl 0 0 4, 2θ 14.5, I 58
- hkl 0 2 2, 2θ 14.7, I 100
- hkl 1 1 3, 2θ 19.9, I 29
- hkl 1 3 1, 2θ 25.0, I 26
- hkl 0 2 6, 2θ 25.4, I 30
- hkl 1 3 5, 2θ 30.8, I 55
- hkl 2 0 6, 2θ 38.2, I 34
- hkl 0 4 8, 2θ 39.4, I 24
- hkl 2 4 2, 2θ 41.4, I 35
- hkl 0 6 6, 2θ 45.2, I 29

# 3
For KUCuSe3, the PBE geometry in the Materials Project gives the calculated powder X-ray diffraction pattern in this record (Cu Kα X-rays).
Neutral-atom scattering factors, no anomalous dispersion.

Structural model:
```
data_KUCuSe3
_chemical_formula_sum 'K4 U4 Cu4 Se12'
_symmetry_space_group_name_H-M 'C m c m'
_symmetry_Int_Tables_number 63
_symmetry_space_group_name_Hall '-C 2c 2'
_cell_length_a 4.105
_cell_length_b 14.763
_cell_length_c 10.700
_cell_angle_alpha 90.00
_cell_angle_beta 90.00
_cell_angle_gamma 90.00
loop_
_atom_site_label
_atom_site_fract_x
_atom_site_fract_y
_atom_site_fract_z
_atom_site_occupancy
K1 0.000 0.247 0.250 1
U1 0.000 0.500 0.000 1
Cu1 0.000 0.033 0.750 1
Se1 0.000 0.126 0.562 1
Se2 0.000 0.435 0.750 1
```

Principal peaks in the range 2θ from 5° to 70°, low angle first:
- hkl 0 2 0, 2θ 12.0, I 100
- hkl 0 2 2, 2θ 20.5, I 14
- hkl 1 3 0, 2θ 28.3, I 31
- hkl 1 3 1, 2θ 29.5, I 22
- hkl 1 3 2, 2θ 33.0, I 48
- hkl 0 0 4, 2θ 33.5, I 18
- hkl 0 2 4, 2θ 35.7, I 16
- hkl 1 5 2, 2θ 41.3, I 33
- hkl 2 0 0, 2θ 44.1, I 17
- hkl 1 3 5, 2θ 51.6, I 14

# 4
For K2VCuSe4, the PBE geometry in the Materials Project gives the calculated powder X-ray diffraction pattern in this record (Cu Kα X-rays).
Neutral-atom scattering factors, no anomalous dispersion.

Structural model:
```
data_K2VCuSe4
_chemical_formula_sum 'K16 V8 Cu8 Se32'
_symmetry_space_group_name_H-M 'F d d d'
_symmetry_Int_Tables_number 70
_cell_length_a 5.647
_cell_length_b 13.561
_cell_length_c 23.881
_cell_angle_alpha 90.00
_cell_angle_beta 90.00
_cell_angle_gamma 90.00
loop_
_symmetry_equiv_pos_as_xyz
'x,y,z'
'-x,-y,-z'
'-x+1/4,-y+1/4,z'
'x+1/4,y+1/4,-z'
'x,-y+1/4,-z+1/4'
'-x,y+1/4,z+1/4'
'-x+1/4,y,-z+1/4'
'x+1/4,-y,z+1/4'
'x,y+1/2,z+1/2'
'-x,-y+1/2,-z+1/2'
'-x+1/4,-y+3/4,z+1/2'
'x+1/4,y+3/4,-z+1/2'
'x,-y+3/4,-z+3/4'
'-x,y+3/4,z+3/4'
'-x+1/4,y+1/2,-z+3/4'
'x+1/4,-y+1/2,z+3/4'
'x+1/2,y,z+1/2'
'-x+1/2,-y,-z+1/2'
'-x+3/4,-y+1/4,z+1/2'
'x+3/4,y+1/4,-z+1/2'
'x+1/2,-y+1/4,-z+3/4'
'-x+1/2,y+1/4,z+3/4'
'-x+3/4,y,-z+3/4'
'x+3/4,-y,z+3/4'
'x+1/2,y+1/2,z'
'-x+1/2,-y+1/2,-z'
'-x+3/4,-y+3/4,z'
'x+3/4,y+3/4,-z'
'x+1/2,-y+3/4,-z+1/4'
'-x+1/2,y+3/4,z+1/4'
'-x+3/4,y+1/2,-z+1/4'
'x+3/4,-y+1/2,z+1/4'
loop_
_atom_site_label
_atom_site_fract_x
_atom_site_fract_y
_atom_site_fract_z
_atom_site_occupancy
K1 0.125 0.125 0.305 1
V1 0.125 0.125 0.125 1
Cu1 0.125 0.125 0.625 1
Se1 0.108 0.275 0.431 1
```

Principal peaks in the range 2θ from 5° to 70°, low angle first:
- hkl 0 0 4, 2θ 14.8, I 40
- hkl 0 2 2, 2θ 15.0, I 65
- hkl 1 3 3, 2θ 27.7, I 100
- hkl 1 3 5, 2θ 31.5, I 63
- hkl 2 0 6, 2θ 39.1, I 36
- hkl 0 4 8, 2θ 40.3, I 22
- hkl 2 4 2, 2θ 42.3, I 31
- hkl 0 6 6, 2θ 46.2, I 25
- hkl 2 0 10, 2θ 50.0, I 26
- hkl 2 6 0, 2θ 51.8, I 25

# 5
For K2VCuSe2, the PBE geometry in the Materials Project gives the calculated powder X-ray diffraction pattern in this record (Cu Kα X-rays).
Neutral-atom scattering factors, no anomalous dispersion.

Structural model:
```
data_K2VCuSe2
_chemical_formula_sum 'K32 V16 Cu16 Se32'
_symmetry_space_group_name_H-M 'F d d d'
_symmetry_Int_Tables_number 70
_cell_length_a 5.816
_cell_length_b 13.784
_cell_length_c 38.605
_cell_angle_alpha 90.00
_cell_angle_beta 90.00
_cell_angle_gamma 90.00
loop_
_symmetry_equiv_pos_as_xyz
'x,y,z'
'-x,-y,-z'
'-x+1/4,-y+1/4,z'
'x+1/4,y+1/4,-z'
'x,-y+1/4,-z+1/4'
'-x,y+1/4,z+1/4'
'-x+1/4,y,-z+1/4'
'x+1/4,-y,z+1/4'
'x,y+1/2,z+1/2'
'-x,-y+1/2,-z+1/2'
'-x+1/4,-y+3/4,z+1/2'
'x+1/4,y+3/4,-z+1/2'
'x,-y+3/4,-z+3/4'
'-x,y+3/4,z+3/4'
'-x+1/4,y+1/2,-z+3/4'
'x+1/4,-y+1/2,z+3/4'
'x+1/2,y,z+1/2'
'-x+1/2,-y,-z+1/2'
'-x+3/4,-y+1/4,z+1/2'
'x+3/4,y+1/4,-z+1/2'
'x+1/2,-y+1/4,-z+3/4'
'-x+1/2,y+1/4,z+3/4'
'-x+3/4,y,-z+3/4'
'x+3/4,-y,z+3/4'
'x+1/2,y+1/2,z'
'-x+1/2,-y+1/2,-z'
'-x+3/4,-y+3/4,z'
'x+3/4,y+3/4,-z'
'x+1/2,-y+3/4,-z+1/4'
'-x+1/2,y+3/4,z+1/4'
'-x+3/4,y+1/2,-z+1/4'
'x+3/4,-y+1/2,z+1/4'
loop_
_atom_site_label
_atom_site_fract_x
_atom_site_fract_y
_atom_site_fract_z
_atom_site_occupancy
K1 0.016 0.261 0.421 1
V1 0.000 0.000 0.000 1
Cu1 0.000 0.000 0.500 1
Se1 0.006 0.252 0.549 1
```

Principal peaks in the range 2θ from 5° to 70°, low angle first:
- hkl 0 0 4, 2θ 9.2, I 100
- hkl 1 1 5, 2θ 20.2, I 13
- hkl 1 1 7, 2θ 23.1, I 13
- hkl 0 4 0, 2θ 25.9, I 63
- hkl 0 4 4, 2θ 27.5, I 16
- hkl 2 2 6, 2θ 36.3, I 46
- hkl 2 2 10, 2θ 41.0, I 38
- hkl 1 3 15, 2θ 43.2, I 12
- hkl 2 6 6, 2θ 52.7, I 14
- hkl 2 6 10, 2θ 56.3, I 15

# 6
For KVCu2Se4, the PBE geometry in the Materials Project gives the calculated powder X-ray diffraction pattern in this record (Cu Kα X-rays).
Neutral-atom scattering factors, no anomalous dispersion.

Structural model:
```
data_KVCu2Se4
_chemical_formula_sum 'K4 V4 Cu8 Se16'
_symmetry_space_group_name_H-M 'A m a 2'
_symmetry_Int_Tables_number 40
_cell_length_a 7.709
_cell_length_b 18.786
_cell_length_c 5.610
_cell_angle_alpha 90.00
_cell_angle_beta 90.00
_cell_angle_gamma 90.00
loop_
_symmetry_equiv_pos_as_xyz
'x,y,z'
'-x,-y,z'
'-x+1/2,y,z'
'x+1/2,-y,z'
'x,y+1/2,z+1/2'
'-x,-y+1/2,z+1/2'
'-x+1/2,y+1/2,z+1/2'
'x+1/2,-y+1/2,z+1/2'
loop_
_atom_site_label
_atom_site_fract_x
_atom_site_fract_y
_atom_site_fract_z
_atom_site_occupancy
K1 0.250 0.185 0.000 1
V1 0.250 0.392 0.265 1
Cu1 0.000 0.000 0.749 1
Cu2 0.250 0.391 0.766 1
Se1 0.001 0.390 0.027 1
Se2 0.250 0.291 0.498 1
Se3 0.250 0.495 0.510 1
```

Principal peaks in the range 2θ from 5° to 70°, low angle first:
- hkl 0 2 0, 2θ 9.4, I 27
- hkl 1 2 0, 2θ 14.9, I 33
- hkl 0 5 1, 2θ 28.5, I 100
- hkl 2 4 2, 2θ 44.4, I 44
- hkl 4 0 0, 2θ 47.2, I 14
- hkl 0 10 0, 2θ 48.5, I 10
- hkl 2 6 2, 2θ 49.6, I 17
- hkl 2 9 1, 2θ 52.5, I 12
- hkl 0 5 3, 2θ 54.8, I 14
- hkl 4 5 1, 2θ 56.1, I 13